# K4PuGeS6
Calculated powder XRD pattern, λ = 1.5418 Å (Cu Kα). Input: the PBE geometry in OQMD.
No peak broadening, texture or thermal motion is included.

Largest 8 diffraction maxima, by angle, 10° ≤ 2θ ≤ 90°:
2θ (°), I (rel.), index
11.21, 46, 0 0 1
12.85, 100, 0 1 0
14.79, 49, 1 0 0
15.55, 45, 1 1 1
15.76, 80, 1 1 0
16.01, 70, 1 0 1
26.11, 78, 2 1 1
27.73, 44, 1 2 2

Crystal structure
Cell lengths 6.839, 7.673, 8.518 Å; angles 74.08, 69.64, 65.31 degrees
Atoms (fractional coordinates):
K 0.000 0.000 0.000
K 0.161 0.415 0.251
K 0.411 0.743 0.444
K 0.749 0.645 0.827
Pu 0.702 0.144 0.453
Ge 0.440 0.271 0.830
S 0.257 0.579 0.855
S 0.307 0.189 0.654
S 0.453 0.044 0.052
S 0.693 0.405 0.201
S 0.800 0.247 0.674
S 0.912 0.797 0.408



# Zr8Al2C3N3
Calculated powder XRD pattern, λ = 1.5418 Å (Cu Kα). Input: the PBE geometry in OQMD.
No peak broadening, texture or thermal motion is included.

Largest 8 diffraction maxima, by angle, 10° ≤ 2θ ≤ 90°:
2θ (°), I (rel.), index
32.07, 40, 1 0 2
34.45, 43, 1 0 4
35.86, 39, 0 0 10
36.14, 69, 0 1 5
38.12, 100, 1 0 6
54.41, 22, 0 1 12
55.60, 49, 1 1 0
67.95, 35, 1 1 10

Crystal structure
Cell lengths 3.306, 3.306, 25.040 Å; angles 90.00, 90.00, 120.00 degrees
Atoms (fractional coordinates):
Zr 0.000 0.000 0.155
Zr 0.000 0.000 0.341
Zr 0.000 0.000 0.659
Zr 0.000 0.000 0.845
Zr 0.333 0.667 0.553
Zr 0.333 0.667 0.946
Zr 0.667 0.333 0.054
Zr 0.667 0.333 0.447
Al 0.333 0.667 0.753
Al 0.667 0.333 0.247
C 0.000 0.000 0.500
C 0.333 0.667 0.389
C 0.667 0.333 0.611
N 0.000 0.000 0.000
N 0.333 0.667 0.105
N 0.667 0.333 0.895